No. 1
Simulated XRD peak list
Compound: Li3TeO4
Radiation: Cu Kα (λ = 1.5418 Å)
Structure: a crystal structure in Alexandria, relaxed with GGA-PBE
Neutral-atom scattering factors, no anomalous dispersion.

Atomic structure:
Lattice parameters (Å, degrees): 4.2127 7.0848 6.1922 90.00 90.00 90.00
Space group Pmmn (No. 59, origin choice 2)
Asymmetric unit:
1 Li 0.2500 0.0169 0.1563
2 Li 0.2500 0.7500 0.6934
3 Te 0.2500 0.2500 0.6593
4 O 0.2500 0.0183 0.8297
5 O 0.2500 0.2500 0.3395
6 O 0.2500 0.7500 0.3424

Top 8 peaks for 2θ from 15° to 90°, sorted by position:
index  d/Å  I (rel.)
0 1 1  4.662  100
1 1 0  3.621  80
0 2 0  3.542  35
1 0 1  3.483  49
1 1 1  3.126  28
0 2 1  3.075  41
0 1 2  2.837  31
0 2 3  1.783  26

No. 2
Simulated XRD peak list
Compound: Li5TeO4
Radiation: Cu Kα (λ = 1.5418 Å)
Structure: a crystal structure in Alexandria, relaxed with GGA-PBE
Neutral-atom scattering factors, no anomalous dispersion.

Atomic structure:
Lattice parameters (Å, degrees): 4.9254 6.0271 7.9760 90.00 100.81 90.00
Space group P2_1/m (No. 11)
Asymmetric unit:
1 Li 0.2035 0.0060 0.1001
2 Li 0.2378 0.5113 0.4593
3 Li 0.2544 0.7500 0.7521
4 Te 0.2823 0.2500 0.7715
5 O 0.0329 0.2500 0.5155
6 O 0.0653 0.7500 0.9423
7 O 0.4865 0.0035 0.6952

Top 8 peaks for 2θ from 15° to 90°, sorted by position:
index  d/Å  I (rel.)
0 1 1  4.777  100
1 0 -1  4.512  44
0 0 2  3.917  29
1 0 1  3.809  39
1 1 0  3.773  56
1 1 -2  2.941  42
1 2 -1  2.505  41
2 1 -1  2.265  20

No. 3
Simulated XRD peak list
Compound: Li6TeO6
Radiation: Cu Kα (λ = 1.5418 Å)
Structure: a crystal structure in Alexandria, relaxed with GGA-PBE
Neutral-atom scattering factors, no anomalous dispersion.

Atomic structure:
Lattice parameters (Å, degrees): 5.8249 5.8249 13.6747 90.00 90.00 120.00
Space group R-3 (No. 148, hexagonal axes)
Asymmetric unit:
1 Li 0.0231 0.6126 0.3969
2 Te 0.0000 0.0000 0.5000
3 O 0.0219 0.7369 0.5824

Top 8 peaks for 2θ from 15° to 90°, sorted by position:
index  d/Å  I (rel.)
1 0 1  4.733  100
0 0 3  4.558  20
0 1 2  4.059  67
1 0 4  2.830  18
0 2 1  2.480  13
1 1 3  2.454  36
1 2 2  1.837  13
1 1 6  1.795  21

No. 4
Simulated XRD peak list
Compound: LiTe2O6
Radiation: Cu Kα (λ = 1.5418 Å)
Structure: a crystal structure in Alexandria, relaxed with GGA-PBE
Neutral-atom scattering factors, no anomalous dispersion.

Atomic structure:
Lattice parameters (Å, degrees): 5.3853 5.3853 4.8756 90.00 90.00 120.00
Space group P-31m (No. 162)
Asymmetric unit:
1 Li 0.0000 0.0000 0.0000
2 Te 0.3333 0.6667 0.5000
3 O 0.0000 0.3692 0.7225

Top 8 peaks for 2θ from 15° to 90°, sorted by position:
index  d/Å  I (rel.)
0 0 1  4.876  100
1 0 0  4.664  69
1 0 1  3.370  61
1 1 0  2.693  40
2 -1 1  2.357  82
2 -1 2  1.807  51
3 0 0  1.555  19
3 0 1  1.481  20

No. 5
Simulated XRD peak list
Compound: Li6TeO6
Radiation: Cu Kα (λ = 1.5418 Å)
Structure: a crystal structure in Alexandria, relaxed with GGA-PBE
Neutral-atom scattering factors, no anomalous dispersion.

Atomic structure:
Lattice parameters (Å, degrees): 8.2031 8.2031 7.2937 90.00 90.00 120.00
Space group R-3 (No. 148, hexagonal axes)
Asymmetric unit:
1 Li 0.0085 0.6533 0.0003
2 Te 0.0000 0.0000 0.0000
3 O 0.1010 0.5467 0.8141

Top 8 peaks for 2θ from 15° to 90°, sorted by position:
index  d/Å  I (rel.)
1 0 1  5.089  100
1 1 0  4.102  29
0 1 2  3.244  21
0 2 1  3.193  38
3 -2 2  2.162  30
2 -1 3  2.091  11
4 -3 1  1.902  14
0 3 3  1.696  17